[1]
For SmBO3, a cell relaxed with GGA-PBE gives the simulated powder XRD pattern in this record (Cu Kα X-rays).
No peak broadening, texture or thermal motion is included.

Crystal structure
a b c (Å): 6.2179 6.4769 6.4800
angles (deg): 93.10 108.27 107.81
Space group P-1 (No. 2)
One atom of each set of equivalent atoms:
Sm  0.0625  0.3487  0.2732 [2 per cell]
Sm  0.4361  0.2164  0.8128 [2 per cell]
B  0.0240  0.7865  0.2408 [2 per cell]
B  0.4930  0.2714  0.2768 [2 per cell]
O  0.0251  0.0230  0.7666 [2 per cell]
O  0.0915  0.3651  0.6476 [2 per cell]
O  0.1505  0.7167  0.1275 [2 per cell]
O  0.3750  0.3833  0.1267 [2 per cell]
O  0.3756  0.8348  0.7970 [2 per cell]
O  0.4596  0.2679  0.4734 [2 per cell]

Principal peaks in the range 2θ from 10° to 90°, sorted by position:
20.81°, d = 4.270 Å, intensity 89.7, (-1 1 1)
24.74°, d = 3.599 Å, intensity 20.4, (1 1 -1)
24.88°, d = 3.578 Å, intensity 68.3, (1 -1 1)
25.14°, d = 3.542 Å, intensity 47.1, (1 1 0)
29.41°, d = 3.037 Å, intensity 100.0, (0 0 2)
30.41°, d = 2.940 Å, intensity 28.8, (2 0 -1)
30.63°, d = 2.919 Å, intensity 40.0, (0 2 -1)
32.22°, d = 2.779 Å, intensity 62.5, (2 0 0)
35.16°, d = 2.553 Å, intensity 24.4, (0 1 2)
35.60°, d = 2.522 Å, intensity 30.1, (2 -2 0)
50.99°, d = 1.791 Å, intensity 29.6, (1 -3 2)
53.14°, d = 1.724 Å, intensity 24.3, (-1 2 3)

***

[2]
For SmB3O6, a cell relaxed with GGA-PBE gives the simulated powder XRD pattern in this record (Cu Kα X-rays).
No peak broadening, texture or thermal motion is included.

Crystal structure
a b c (Å): 9.6693 8.0261 6.2507
angles (deg): 90.00 125.92 90.00
Space group C2/c (No. 15)
One atom of each set of equivalent atoms:
Sm  0.0000  0.1980  0.2500 [4 per cell]
B  0.0000  0.2190  0.7500 [4 per cell]
B  0.2240  0.4352  0.0860 [8 per cell]
O  0.1018  0.3112  0.9953 [8 per cell]
O  0.1053  0.1081  0.7077 [8 per cell]
O  0.1987  0.4088  0.4989 [8 per cell]

Principal peaks in the range 2θ from 10° to 90°, sorted by position:
18.02°, d = 4.923 Å, intensity 100.0, (1 1 -1)
22.15°, d = 4.013 Å, intensity 36.1, (0 2 0)
22.71°, d = 3.915 Å, intensity 42.1, (2 0 0)
28.30°, d = 3.153 Å, intensity 47.0, (1 1 1)
28.64°, d = 3.117 Å, intensity 40.5, (2 0 -2)
29.23°, d = 3.055 Å, intensity 27.3, (2 2 -1)
29.97°, d = 2.981 Å, intensity 29.3, (3 1 -1)
31.94°, d = 2.802 Å, intensity 49.1, (2 2 0)
35.46°, d = 2.531 Å, intensity 30.6, (1 3 0)
45.07°, d = 2.012 Å, intensity 34.2, (3 1 -3)
48.79°, d = 1.867 Å, intensity 27.4, (0 4 1)
49.40°, d = 1.845 Å, intensity 28.8, (2 4 -1)

***

[3]
For Tb2BO4, a cell relaxed with GGA-PBE gives the simulated powder XRD pattern in this record (Cu Kα X-rays).
No peak broadening, texture or thermal motion is included.

Crystal structure
a b c (Å): 8.6103 8.6103 8.6103
angles (deg): 90.00 90.00 90.00
Space group Fd-3m (No. 227, origin choice 2)
One atom of each set of equivalent atoms:
Tb  0.0000  0.0000  0.0000 [16 per cell]
B  0.1250  0.1250  0.6250 [8 per cell]
O  0.0217  0.0217  0.7283 [32 per cell]

Principal peaks in the range 2θ from 10° to 90°, sorted by position:
17.84°, d = 4.971 Å, intensity 100.0, (1 1 1)
34.55°, d = 2.596 Å, intensity 91.0, (3 1 1)
36.14°, d = 2.486 Å, intensity 62.0, (2 2 2)
41.97°, d = 2.153 Å, intensity 61.3, (4 0 0)
45.94°, d = 1.975 Å, intensity 42.1, (3 3 1)
55.45°, d = 1.657 Å, intensity 26.3, (3 3 3)
60.86°, d = 1.522 Å, intensity 40.7, (4 4 0)
63.97°, d = 1.455 Å, intensity 22.6, (5 3 1)
72.87°, d = 1.298 Å, intensity 30.0, (6 2 2)
76.68°, d = 1.243 Å, intensity 12.2, (4 4 4)
79.49°, d = 1.206 Å, intensity 13.0, (7 1 1)
86.90°, d = 1.121 Å, intensity 21.1, (7 3 1)

***

[4]
For TbBO5, a cell relaxed with GGA-PBE gives the simulated powder XRD pattern in this record (Cu Kα X-rays).
No peak broadening, texture or thermal motion is included.

Crystal structure
a b c (Å): 4.1739 4.3384 4.9905
angles (deg): 110.88 107.40 91.68
Space group P1 (No. 1)
One atom of each set of equivalent atoms:
Tb  0.0000  0.0000  0.0000 [1 per cell]
B  0.7146  0.5214  0.2779 [1 per cell]
O  0.2100  0.2226  0.6096 [1 per cell]
O  0.3099  0.5326  0.7316 [1 per cell]
O  0.5552  0.1941  0.1655 [1 per cell]
O  0.6881  0.7665  0.5259 [1 per cell]
O  0.9354  0.5659  0.1290 [1 per cell]

Principal peaks in the range 2θ from 10° to 90°, sorted by position:
20.19°, d = 4.399 Å, intensity 100.0, (0 0 1)
22.19°, d = 4.006 Å, intensity 60.2, (0 1 0)
22.59°, d = 3.936 Å, intensity 79.3, (1 0 0)
23.63°, d = 3.765 Å, intensity 77.5, (0 1 -1)
24.86°, d = 3.582 Å, intensity 42.7, (1 0 -1)
29.28°, d = 3.050 Å, intensity 58.7, (1 -1 0)
30.46°, d = 2.934 Å, intensity 54.4, (1 1 -1)
35.27°, d = 2.545 Å, intensity 56.1, (1 0 1)
36.42°, d = 2.467 Å, intensity 31.9, (-1 1 1)
38.41°, d = 2.343 Å, intensity 36.9, (0 1 -2)
43.72°, d = 2.070 Å, intensity 28.6, (2 0 -1)
48.02°, d = 1.895 Å, intensity 29.1, (1 2 -1)

***

[5]
For Zn3B2O6, a cell relaxed with GGA-PBE gives the simulated powder XRD pattern in this record (Cu Kα X-rays).
No peak broadening, texture or thermal motion is included.

Crystal structure
a b c (Å): 23.4883 5.0610 8.4228
angles (deg): 90.00 102.70 90.00
Space group C2/c (No. 15)
One atom of each set of equivalent atoms:
Zn  0.0507  0.1760  0.1771 [8 per cell]
Zn  0.1281  0.3161  0.8765 [8 per cell]
Zn  0.2097  0.3076  0.2082 [8 per cell]
B  0.0656  0.3228  0.5367 [8 per cell]
B  0.1871  0.1839  0.5186 [8 per cell]
O  0.0369  0.1945  0.3995 [8 per cell]
O  0.0804  0.1821  0.6800 [8 per cell]
O  0.0814  0.4138  0.0386 [8 per cell]
O  0.1627  0.3215  0.3776 [8 per cell]
O  0.1862  0.0885  0.0166 [8 per cell]
O  0.2136  0.3130  0.6607 [8 per cell]

Principal peaks in the range 2θ from 10° to 90°, sorted by position:
21.06°, d = 4.219 Å, intensity 31.2, (3 1 0)
21.42°, d = 4.149 Å, intensity 54.2, (1 1 1)
24.87°, d = 3.581 Å, intensity 24.5, (3 1 1)
26.71°, d = 3.337 Å, intensity 70.9, (5 1 -1)
28.19°, d = 3.166 Å, intensity 100.0, (6 0 -2)
30.06°, d = 2.973 Å, intensity 28.3, (5 1 1)
32.21°, d = 2.779 Å, intensity 29.1, (3 1 2)
35.46°, d = 2.531 Å, intensity 74.1, (0 2 0)
36.33°, d = 2.473 Å, intensity 42.2, (7 1 1)
36.92°, d = 2.434 Å, intensity 37.6, (3 1 -3)
37.51°, d = 2.398 Å, intensity 23.5, (2 2 -1)
45.90°, d = 1.977 Å, intensity 24.4, (6 2 -2)